Starting from a DFT-relaxed cell (PBE, Alexandria), the X-ray powder pattern of NdZn10Au2 was calculated for Cu Ka.

Peak list (12 most intense, 10 to 80 degrees two-theta, in order of rising 2θ)
d = 6.387 Å, 13.87 deg, I = 295, hkl 0 0 2; d = 6.340 Å, 13.97 deg, I = 189, hkl 0 2 0; d = 4.499 Å, 19.73 deg, I = 305, hkl 0 2 2; d = 2.839 Å, 31.51 deg, I = 220, hkl 0 4 2; d = 2.628 Å, 34.11 deg, I = 275, hkl 1 3 3; d = 2.332 Å, 38.61 deg, I = 1000, hkl 2 2 2; d = 2.276 Å, 39.60 deg, I = 300, hkl 1 1 5; d = 2.263 Å, 39.83 deg, I = 283, hkl 1 5 1; d = 2.250 Å, 40.08 deg, I = 615, hkl 0 4 4; d = 2.074 Å, 43.65 deg, I = 283, hkl 2 0 4; d = 2.067 Å, 43.79 deg, I = 288, hkl 2 4 0; d = 1.314 Å, 71.84 deg, I = 245, hkl 2 6 6

Structural model:
```
data_NdZn10Au2
_symmetry_space_group_name_H-M 'F m m m'
_symmetry_Int_Tables_number 69
_symmetry_space_group_name_Hall '-F 2 2'
_cell_length_a 5.454
_cell_length_b 12.680
_cell_length_c 12.773
_cell_angle_alpha 90.00
_cell_angle_beta 90.00
_cell_angle_gamma 90.00
loop_
_atom_site_label
_atom_site_fract_x
_atom_site_fract_y
_atom_site_fract_z
Nd1 0.000 0.000 0.000
Zn1 0.000 0.106 0.388
Zn2 0.000 0.176 0.180
Zn3 0.250 0.000 0.250
Au1 0.250 0.250 0.000
```

=====

Starting from a DFT-relaxed cell (PBE, Alexandria), the X-ray powder pattern of Nd3Zn8Au3 was calculated for Cu Ka.

Peak list (12 most intense, 10 to 80 degrees two-theta, in order of rising 2θ)
d = 3.144 Å, 28.39 deg, I = 898, hkl 3 1 0; d = 3.099 Å, 28.80 deg, I = 416, hkl 3 1 -2; d = 2.659 Å, 33.70 deg, I = 405, hkl 6 0 -2; d = 2.625 Å, 34.16 deg, I = 566, hkl 1 1 2; d = 2.579 Å, 34.78 deg, I = 410, hkl 3 1 1; d = 2.570 Å, 34.92 deg, I = 1000, hkl 5 1 -2; d = 2.530 Å, 35.48 deg, I = 565, hkl 3 1 -3; d = 2.386 Å, 37.71 deg, I = 472, hkl 1 1 -3; d = 2.228 Å, 40.50 deg, I = 892, hkl 0 2 0; d = 2.219 Å, 40.66 deg, I = 473, hkl 6 0 0; d = 1.572 Å, 58.73 deg, I = 317, hkl 6 2 0; d = 1.413 Å, 66.11 deg, I = 246, hkl 3 1 4

Structural model:
```
data_Nd3Zn8Au3
_symmetry_space_group_name_H-M 'C 1 2/m 1'
_symmetry_Int_Tables_number 12
_symmetry_space_group_name_Hall '-C 2y'
_cell_length_a 15.962
_cell_length_b 4.455
_cell_length_c 9.226
_cell_angle_alpha 90.00
_cell_angle_beta 123.48
_cell_angle_gamma 90.00
loop_
_atom_site_label
_atom_site_fract_x
_atom_site_fract_y
_atom_site_fract_z
Nd1 0.000 0.000 0.000
Nd2 0.203 0.500 0.697
Zn1 0.002 0.500 0.315
Zn2 0.136 0.000 0.416
Zn3 0.138 0.000 0.847
Zn4 0.163 0.500 0.309
Au1 0.000 0.000 0.500
Au2 0.156 0.500 0.017
```

=====

Starting from a DFT-relaxed cell (PBE, Alexandria), the X-ray powder pattern of Nd2Zn16Au was calculated for Cu Ka.

Peak list (12 most intense, 10 to 80 degrees two-theta, in order of rising 2θ)
d = 6.768 Å, 13.08 deg, I = 202, hkl 1 0 1; d = 3.174 Å, 28.12 deg, I = 249, hkl 1 1 3; d = 2.619 Å, 34.23 deg, I = 620, hkl 3 0 0; d = 2.541 Å, 35.33 deg, I = 429, hkl 0 2 4; d = 2.268 Å, 39.74 deg, I = 882, hkl 2 2 0; d = 2.256 Å, 39.96 deg, I = 1000, hkl 0 3 3; d = 2.219 Å, 40.67 deg, I = 615, hkl 0 0 6; d = 2.205 Å, 40.92 deg, I = 341, hkl 2 0 5; d = 2.020 Å, 44.87 deg, I = 449, hkl 2 2 3; d = 1.586 Å, 58.16 deg, I = 247, hkl 2 2 6; d = 1.309 Å, 72.14 deg, I = 327, hkl 6 0 0; d = 1.289 Å, 73.48 deg, I = 285, hkl 0 3 9

Structural model:
```
data_Nd2Zn16Au
_symmetry_space_group_name_H-M 'R 3 m'
_symmetry_Int_Tables_number 160
_symmetry_space_group_name_Hall 'R 3 -2"'
_cell_length_a 9.0734
_cell_length_b 9.0734
_cell_length_c 13.3227
_cell_angle_alpha 90.00
_cell_angle_beta 90.00
_cell_angle_gamma 120.00
loop_
_atom_site_label
_atom_site_fract_x
_atom_site_fract_y
_atom_site_fract_z
Nd1 0.0000 0.0000 0.0000
Nd2 0.0000 0.0000 0.3265
Zn1 0.0000 0.0000 0.7654
Zn2 0.9998 0.2936 0.6631
Zn3 0.0093 0.5046 0.8167
Zn4 0.1678 0.3356 0.4965
Zn5 0.1714 0.3427 0.8439
Au1 0.0000 0.0000 0.5629
```

=====

Starting from a DFT-relaxed cell (PBE, Alexandria), the X-ray powder pattern of Ni3Au4 was calculated for Cu Ka.

Peak list (12 most intense, 10 to 80 degrees two-theta, in order of rising 2θ)
d = 6.225 Å, 14.23 deg, I = 105, hkl 0 0 4; d = 2.744 Å, 32.63 deg, I = 281, hkl 1 0 3; d = 2.511 Å, 35.76 deg, I = 102, hkl 1 0 5; d = 2.490 Å, 36.07 deg, I = 86, hkl 0 0 10; d = 2.251 Å, 40.05 deg, I = 1000, hkl 1 0 7; d = 2.056 Å, 44.04 deg, I = 443, hkl 1 1 0; d = 1.779 Å, 51.37 deg, I = 75, hkl 0 0 14; d = 1.585 Å, 58.19 deg, I = 89, hkl 1 1 10; d = 1.461 Å, 63.72 deg, I = 61, hkl 1 1 12; d = 1.454 Å, 64.05 deg, I = 145, hkl 2 0 0; d = 1.345 Å, 69.94 deg, I = 120, hkl 1 1 14; d = 1.221 Å, 78.28 deg, I = 284, hkl 2 1 7

Structural model:
```
data_Ni3Au4
_symmetry_space_group_name_H-M 'I 4/m m m'
_symmetry_Int_Tables_number 139
_symmetry_space_group_name_Hall '-I 4 2'
_cell_length_a 2.908
_cell_length_b 2.908
_cell_length_c 24.900
_cell_angle_alpha 90.00
_cell_angle_beta 90.00
_cell_angle_gamma 90.00
loop_
_atom_site_label
_atom_site_fract_x
_atom_site_fract_y
_atom_site_fract_z
Ni1 0.000 0.000 0.000
Ni2 0.000 0.000 0.275
Au1 0.000 0.000 0.155
Au2 0.000 0.000 0.431
```

=====

Starting from a DFT-relaxed cell (PBE, Alexandria), the X-ray powder pattern of NiAu5 was calculated for Cu Ka.

Peak list (12 most intense, 10 to 80 degrees two-theta, in order of rising 2θ)
d = 2.504 Å, 35.86 deg, I = 234, hkl 0 1 3; d = 2.463 Å, 36.48 deg, I = 122, hkl 0 0 6; d = 2.388 Å, 37.68 deg, I = 409, hkl 2 0 0; d = 2.218 Å, 40.68 deg, I = 1000, hkl 1 1 3; d = 2.189 Å, 41.24 deg, I = 449, hkl 1 0 6; d = 1.728 Å, 52.99 deg, I = 155, hkl 2 1 3; d = 1.430 Å, 65.25 deg, I = 150, hkl 0 1 9; d = 1.343 Å, 70.05 deg, I = 204, hkl 3 1 3; d = 1.337 Å, 70.43 deg, I = 94, hkl 3 0 6; d = 1.242 Å, 76.75 deg, I = 106, hkl 2 2 0; d = 1.227 Å, 77.87 deg, I = 184, hkl 2 1 9; d = 1.211 Å, 79.07 deg, I = 138, hkl 1 2 6

Structural model:
```
data_NiAu5
_symmetry_space_group_name_H-M 'A m m 2'
_symmetry_Int_Tables_number 38
_symmetry_space_group_name_Hall 'A 2 -2'
_cell_length_a 4.775
_cell_length_b 2.908
_cell_length_c 14.779
_cell_angle_alpha 90.00
_cell_angle_beta 90.00
_cell_angle_gamma 90.00
loop_
_atom_site_label
_atom_site_fract_x
_atom_site_fract_y
_atom_site_fract_z
Ni1 0.000 0.000 0.000
Au1 0.000 0.000 0.343
Au2 0.000 0.000 0.659
Au3 0.500 0.000 0.110
Au4 0.500 0.000 0.449
Au5 0.500 0.000 0.779
```

=====

Starting from a DFT-relaxed cell (PBE, Alexandria), the X-ray powder pattern of NiAu7 was calculated for Cu Ka.

Peak list (12 most intense, 10 to 80 degrees two-theta, in order of rising 2θ)
d = 4.746 Å, 18.70 deg, I = 46, hkl 1 1 1; d = 4.110 Å, 21.62 deg, I = 25, hkl 2 0 0; d = 2.906 Å, 30.76 deg, I = 22, hkl 2 2 0; d = 2.479 Å, 36.24 deg, I = 28, hkl 3 1 1; d = 2.373 Å, 37.92 deg, I = 1000, hkl 2 2 2; d = 2.055 Å, 44.06 deg, I = 494, hkl 4 0 0; d = 1.886 Å, 48.26 deg, I = 13, hkl 3 3 1; d = 1.838 Å, 49.59 deg, I = 12, hkl 4 2 0; d = 1.582 Å, 58.33 deg, I = 10, hkl 5 1 1; d = 1.453 Å, 64.08 deg, I = 327, hkl 4 4 0; d = 1.389 Å, 67.40 deg, I = 10, hkl 5 3 1; d = 1.239 Å, 76.94 deg, I = 394, hkl 6 2 2

Structural model:
```
data_NiAu7
_symmetry_space_group_name_H-M 'F m -3 m'
_symmetry_Int_Tables_number 225
_symmetry_space_group_name_Hall '-F 4 2 3'
_cell_length_a 8.220
_cell_length_b 8.220
_cell_length_c 8.220
_cell_angle_alpha 90.00
_cell_angle_beta 90.00
_cell_angle_gamma 90.00
loop_
_atom_site_label
_atom_site_fract_x
_atom_site_fract_y
_atom_site_fract_z
Ni1 0.000 0.000 0.000
Au1 0.000 0.000 0.500
Au2 0.000 0.250 0.250
```